Record 1
Theoretical powder diffractogram
Compound: BeAlCu5
Radiation: Cu Ka
Structure: a cell relaxed with GGA-PBE
Neutral-atom scattering factors, no anomalous dispersion.

a b c (Å): 4.961 7.115 5.100
angles (deg): 90.00 90.00 90.00
Sites, in units of the cell vectors:
Be: 0.000 0.000 0.000
Be: 0.500 0.500 0.000
Al: 0.000 0.500 0.500
Al: 0.500 0.000 0.500
Cu: 0.000 0.500 0.000
Cu: 0.250 0.250 0.248
Cu: 0.250 0.250 0.752
Cu: 0.250 0.750 0.248
Cu: 0.250 0.750 0.752
Cu: 0.500 0.000 0.000
Cu: 0.750 0.250 0.248
Cu: 0.750 0.250 0.752
Cu: 0.750 0.750 0.248
Cu: 0.750 0.750 0.752

Most intense lines, 15° ≤ 2θ ≤ 90°, by angle:
d/Å	I_rel
4.069	36
3.558	48
2.550	20
2.480	18
2.073	100
2.035	94
1.778	90
1.258	35

***

Record 2
Theoretical powder diffractogram
Compound: BaHg3Rh
Radiation: Cu Ka
Structure: a cell relaxed with GGA-PBE
Neutral-atom scattering factors, no anomalous dispersion.

a b c (Å): 7.486 7.486 7.486
angles (deg): 119.88 90.10 120.00
Sites, in units of the cell vectors:
Ba: 0.268 0.018 0.250
Ba: 0.732 0.982 0.750
Hg: 0.235 0.485 0.750
Hg: 0.244 0.000 0.744
Hg: 0.244 0.500 0.244
Hg: 0.756 0.000 0.256
Hg: 0.756 0.500 0.756
Hg: 0.765 0.515 0.250
Rh: 0.000 0.500 0.500
Rh: 0.500 0.500 0.000

Most intense lines, 15° ≤ 2θ ≤ 90°, by angle:
d/Å	I_rel
5.295	22
3.057	100
2.647	92
1.872	66
1.597	37
1.528	23
1.214	14
1.184	24

***

Record 3
Theoretical powder diffractogram
Compound: Sm3I2N2
Radiation: Cu Ka
Structure: a cell relaxed with GGA-PBE
Neutral-atom scattering factors, no anomalous dispersion.

a b c (Å): 3.682 6.307 8.419
angles (deg): 98.92 90.03 106.89
Sites, in units of the cell vectors:
Sm: 0.000 0.000 0.000
Sm: 0.228 0.456 0.826
Sm: 0.772 0.544 0.174
I: 0.118 0.234 0.366
I: 0.882 0.766 0.634
N: 0.363 0.727 0.053
N: 0.637 0.273 0.947

Most intense lines, 15° ≤ 2θ ≤ 90°, by angle:
d/Å	I_rel
3.518	72
3.174	89
2.959	61
2.750	27
2.683	47
2.655	100
2.623	62
1.887	47

***

Record 4
Theoretical powder diffractogram
Compound: K2Ag3Sn5
Radiation: Cu Ka
Structure: a cell relaxed with GGA-PBE
Neutral-atom scattering factors, no anomalous dispersion.

a b c (Å): 9.748 9.748 9.748
angles (deg): 101.56 92.07 139.77
Sites, in units of the cell vectors:
K: 0.129 0.246 0.375
K: 0.371 0.746 0.117
K: 0.629 0.254 0.883
K: 0.871 0.754 0.625
Ag: 0.128 0.867 0.995
Ag: 0.250 0.750 0.500
Ag: 0.372 0.367 0.739
Ag: 0.628 0.633 0.261
Ag: 0.750 0.250 0.500
Ag: 0.872 0.133 0.005
Sn: 0.005 0.750 0.255
Sn: 0.114 0.642 0.755
Sn: 0.250 0.250 0.000
Sn: 0.386 0.142 0.528
Sn: 0.495 0.750 0.745
Sn: 0.505 0.250 0.255
Sn: 0.614 0.858 0.472
Sn: 0.750 0.750 0.000
Sn: 0.886 0.358 0.245
Sn: 0.995 0.250 0.745

Most intense lines, 15° ≤ 2θ ≤ 90°, by angle:
d/Å	I_rel
4.443	70
3.111	43
2.966	70
2.945	69
2.381	100
2.278	59
2.269	60
2.190	38